1.
Calculated X-ray diffraction stick pattern
Compound: Ce2Br5
Radiation: λ = 1.5418 Å (Cu Kα)
Structure: a DFT-relaxed cell (PBE, the Materials Project)
Kinematic intensities with the Lorentz-polarization factor, no thermal factor.

Structure:
```
Ce2Br5
1.0
8.116 0.000 0.000
0.000 4.177 0.000
-0.316 0.000 13.644
Ce Br
4 10
direct
0.071 0.250 0.341
0.426 0.750 0.159
0.574 0.250 0.841
0.929 0.750 0.659
0.053 0.750 0.177
0.148 0.250 0.570
0.313 0.250 0.012
0.335 0.750 0.772
0.344 0.750 0.377
0.656 0.250 0.623
0.665 0.250 0.228
0.687 0.750 0.988
0.852 0.750 0.430
0.947 0.250 0.823
```

Largest 10 diffraction maxima, low angle first, 10° ≤ 2θ ≤ 90°:
d (Å)  2θ (°)  intensity
6.904  12.82  100.0
3.276  27.22  53.1
3.063  29.15  31.0
2.910  30.72  53.4
2.861  31.27  36.6
2.837  31.54  29.7
2.662  33.67  87.7
2.642  33.93  52.4
2.232  40.41  38.4
2.088  43.33  42.8

2.
Calculated X-ray diffraction stick pattern
Compound: EuCdAu2
Radiation: λ = 1.5418 Å (Cu Kα)
Structure: a DFT-relaxed cell (PBE, the Materials Project)
Kinematic intensities with the Lorentz-polarization factor, no thermal factor.

Structure:
```
EuCdAu2
1.0
0.000 3.586 3.586
3.586 0.000 3.586
3.586 3.586 0.000
Eu Cd Au
1 1 2
direct
0.000 0.000 0.000
0.500 0.500 0.500
0.250 0.250 0.250
0.750 0.750 0.750
```

Largest 10 diffraction maxima, low angle first, 10° ≤ 2θ ≤ 90°:
d (Å)  2θ (°)  intensity
4.141  21.46  0.7
3.586  24.83  4.4
2.536  35.40  100.0
2.071  43.72  1.5
1.793  50.92  17.8
1.604  57.46  2.1
1.464  63.54  36.6
1.268  74.89  11.4
1.195  80.31  1.1
1.134  85.65  16.7

3.
Calculated X-ray diffraction stick pattern
Compound: LiSn3
Radiation: λ = 1.5418 Å (Cu Kα)
Structure: a DFT-relaxed cell (PBE, the Materials Project)
Kinematic intensities with the Lorentz-polarization factor, no thermal factor.

Structure:
```
LiSn3
1.0
-2.290 2.290 4.794
2.290 -2.290 4.794
2.290 2.290 -4.794
Li Sn
1 3
direct
0.000 0.000 0.000
0.250 0.750 0.500
0.500 0.500 0.000
0.750 0.250 0.500
```

Largest 10 diffraction maxima, low angle first, 10° ≤ 2θ ≤ 90°:
d (Å)  2θ (°)  intensity
4.794  18.51  10.4
4.133  21.50  29.3
2.684  33.39  100.0
2.397  37.53  18.3
2.290  39.34  32.3
1.656  55.50  24.3
1.619  56.86  11.3
1.433  65.09  15.3
1.386  67.56  27.6
1.342  70.13  12.5

4.
Calculated X-ray diffraction stick pattern
Compound: CsFeS2
Radiation: λ = 1.5418 Å (Cu Kα)
Structure: a DFT-relaxed cell (PBE, the Materials Project)
Kinematic intensities with the Lorentz-polarization factor, no thermal factor.

Structure:
```
CsFeS2
1.0
-2.712 3.554 5.998
2.712 -3.554 5.998
2.712 3.554 -5.998
Cs Fe S
2 2 4
direct
0.172 0.172 0.000
0.828 0.828 0.000
0.500 0.253 0.753
0.500 0.747 0.247
0.257 0.500 0.757
0.358 0.858 0.500
0.642 0.142 0.500
0.743 0.500 0.243
```

Largest 10 diffraction maxima, low angle first, 10° ≤ 2θ ≤ 90°:
d (Å)  2θ (°)  intensity
4.312  20.60  51.2
3.554  25.06  61.1
3.501  25.44  25.4
3.485  25.56  82.1
3.219  27.72  100.0
2.885  30.99  51.2
2.386  37.71  36.7
2.029  44.67  40.2
1.751  52.25  28.1
1.742  52.52  31.6

5.
Calculated X-ray diffraction stick pattern
Compound: BaNdSn2S6
Radiation: λ = 1.5418 Å (Cu Kα)
Structure: a DFT-relaxed cell (PBE, the Materials Project)
Kinematic intensities with the Lorentz-polarization factor, no thermal factor.

Structure:
```
BaNdSn2S6
1.0
4.049 0.000 0.000
0.000 20.246 0.000
0.000 0.000 12.082
Ba Nd Sn S
4 4 8 24
direct
0.000 0.078 0.000
0.000 0.362 0.435
0.000 0.638 0.935
0.000 0.922 0.500
0.000 0.120 0.366
0.000 0.419 0.056
0.000 0.581 0.556
0.000 0.880 0.866
0.000 0.255 0.784
0.000 0.745 0.284
0.500 0.093 0.676
0.500 0.248 0.182
0.500 0.424 0.730
0.500 0.576 0.230
0.500 0.752 0.682
0.500 0.907 0.176
0.000 0.016 0.742
0.000 0.167 0.603
0.000 0.258 0.060
0.000 0.493 0.778
0.000 0.507 0.278
0.000 0.742 0.560
0.000 0.833 0.103
0.000 0.984 0.242
0.500 0.043 0.478
0.500 0.121 0.188
0.500 0.162 0.851
0.500 0.230 0.385
0.500 0.318 0.634
0.500 0.363 0.912
0.500 0.372 0.217
0.500 0.477 0.534
0.500 0.523 0.034
0.500 0.628 0.717
0.500 0.637 0.412
0.500 0.682 0.134
0.500 0.770 0.885
0.500 0.838 0.351
0.500 0.879 0.688
0.500 0.957 0.978
```

Largest 10 diffraction maxima, low angle first, 10° ≤ 2θ ≤ 90°:
d (Å)  2θ (°)  intensity
3.458  25.76  48.6
3.367  26.47  68.8
3.337  26.72  100.0
2.827  31.65  26.7
2.801  31.95  35.8
2.786  32.13  54.2
2.033  44.58  27.2
2.024  44.78  49.8
1.966  46.17  39.3
1.941  46.81  29.2

6.
Calculated X-ray diffraction stick pattern
Compound: Li2ZrN2
Radiation: λ = 1.5418 Å (Cu Kα)
Structure: a DFT-relaxed cell (PBE, the Materials Project)
Kinematic intensities with the Lorentz-polarization factor, no thermal factor.

Structure:
```
Li2ZrN2
1.0
3.297 0.000 0.000
-1.649 2.856 0.000
0.000 0.000 5.494
Li Zr N
2 1 2
direct
0.333 0.667 0.381
0.667 0.333 0.619
0.000 0.000 0.000
0.333 0.667 0.776
0.667 0.333 0.224
```

Largest 10 diffraction maxima, low angle first, 10° ≤ 2θ ≤ 90°:
d (Å)  2θ (°)  intensity
5.494  16.13  100.0
2.856  31.33  39.1
2.747  32.59  9.8
2.534  35.43  94.4
1.980  45.83  53.8
1.649  55.76  21.0
1.579  58.45  18.2
1.542  60.01  20.2
1.382  67.82  13.3
1.267  74.96  11.3